[1]
Theoretical powder XRD pattern
Compound: Zn5Pd4Pt
Radiation: Cu Kα X-rays
Structure: a structure optimized by DFT (GGA-PBE)
Kinematic intensities with the Lorentz-polarization factor, no thermal factor.

Structure:
```
Zn5Pd4Pt
1.0
2.9152 0.0000 0.0000
0.0000 2.9152 0.0000
0.0000 0.0000 17.0299
Zn Pd Pt
5 4 1
Direct
0.0000 0.0000 0.0000 Zn
0.0000 0.0000 0.1995 Zn
0.0000 0.0000 0.3989 Zn
0.0000 0.0000 0.6011 Zn
0.0000 0.0000 0.8005 Zn
0.5000 0.5000 0.0997 Pd
0.5000 0.5000 0.2985 Pd
0.5000 0.5000 0.7015 Pd
0.5000 0.5000 0.9003 Pd
0.5000 0.5000 0.5000 Pt
```

Principal peaks in the range 2θ = 10–80°, sorted by position:
2θ (°)  d_spacing  Rel. int.
10.4  8.515  4
26.2  3.406  6
30.7  2.915  8
40.7  2.215  100
43.9  2.061  40
51.8  1.764  4
53.8  1.703  11
63.9  1.458  13
71.9  1.313  18
78.6  1.218  28

---

[2]
Theoretical powder XRD pattern
Compound: ZnPdPt
Radiation: Cu Kα X-rays
Structure: a structure optimized by DFT (GGA-PBE)
Kinematic intensities with the Lorentz-polarization factor, no thermal factor.

Structure:
```
ZnPdPt
1.0
-3.6851 5.5646 3.3917
3.6851 -5.5646 3.3917
3.6851 5.5646 -3.3917
Zn Pd Pt
6 6 6
Direct
0.1712 0.0204 0.1916 Zn
0.1712 0.4796 0.6507 Zn
0.4359 0.7517 0.1842 Zn
0.5675 0.2517 0.8158 Zn
0.8288 0.5204 0.3493 Zn
0.8288 0.9796 0.8084 Zn
0.0051 0.4847 0.0204 Pd
0.1121 0.0493 0.5628 Pd
0.4644 0.9847 0.9796 Pd
0.4864 0.5493 0.4372 Pd
0.8960 0.1733 0.2228 Pd
0.9505 0.6733 0.7772 Pd
0.2555 0.2555 0.0000 Pt
0.2555 0.7555 0.5000 Pt
0.5251 0.2016 0.4425 Pt
0.5251 0.5826 0.8235 Pt
0.7591 0.0826 0.5575 Pt
0.7591 0.7016 0.1765 Pt
```

Principal peaks in the range 2θ = 10–80°, sorted by position:
2θ (°)  d_spacing  Rel. int.
36.0  2.496  31
36.8  2.440  100
38.0  2.370  25
39.6  2.277  93
40.7  2.217  59
42.0  2.151  30
42.4  2.133  51
42.8  2.115  57
49.5  1.843  22
64.4  1.447  20

---

[3]
Theoretical powder XRD pattern
Compound: ZnPd4Pt3
Radiation: Cu Kα X-rays
Structure: a structure optimized by DFT (GGA-PBE)
Kinematic intensities with the Lorentz-polarization factor, no thermal factor.

Structure:
```
ZnPd4Pt3
1.0
8.7511 0.0000 0.0000
0.0000 3.9678 0.0000
-3.6359 0.0000 7.0358
Zn Pd Pt
2 8 6
Direct
0.0000 0.0000 0.0000 Zn
0.5000 0.5000 0.0000 Zn
0.2468 0.0000 0.3700 Pd
0.2475 0.5000 0.1221 Pd
0.2525 0.0000 0.8779 Pd
0.2532 0.5000 0.6300 Pd
0.7468 0.5000 0.3700 Pd
0.7475 0.0000 0.1221 Pd
0.7525 0.5000 0.8779 Pd
0.7532 0.0000 0.6300 Pd
0.0000 0.0000 0.5000 Pt
0.9996 0.5000 0.2485 Pt
0.0004 0.5000 0.7515 Pt
0.4996 0.0000 0.2485 Pt
0.5004 0.0000 0.7515 Pt
0.5000 0.5000 0.5000 Pt
```

Principal peaks in the range 2θ = 10–80°, sorted by position:
2θ (°)  d_spacing  Rel. int.
12.6  7.036  8
22.9  3.887  7
39.5  2.279  100
39.7  2.268  98
45.8  1.982  66
46.7  1.944  31
66.7  1.401  21
67.3  1.392  10
67.5  1.388  21
67.8  1.382  10

---

[4]
Theoretical powder XRD pattern
Compound: Zn7Pd3Pt
Radiation: Cu Kα X-rays
Structure: a structure optimized by DFT (GGA-PBE)
Kinematic intensities with the Lorentz-polarization factor, no thermal factor.

Structure:
```
Zn7Pd3Pt
1.0
1.4077 -14.0698 0.0000
1.4077 14.0698 0.0000
0.0000 0.0000 10.4263
Zn Pd Pt
14 6 2
Direct
0.0100 0.9900 0.6208 Zn
0.0100 0.9900 0.8792 Zn
0.0809 0.9191 0.2500 Zn
0.1275 0.8725 0.5853 Zn
0.1275 0.8725 0.9147 Zn
0.2277 0.7723 0.5862 Zn
0.2277 0.7723 0.9138 Zn
0.7723 0.2277 0.0862 Zn
0.7723 0.2277 0.4138 Zn
0.8725 0.1275 0.0853 Zn
0.8725 0.1275 0.4147 Zn
0.9191 0.0809 0.7500 Zn
0.9900 0.0100 0.1208 Zn
0.9900 0.0100 0.3792 Zn
0.3200 0.6800 0.2500 Pd
0.4339 0.5661 0.5447 Pd
0.4339 0.5661 0.9553 Pd
0.5661 0.4339 0.0447 Pd
0.5661 0.4339 0.4553 Pd
0.6800 0.3200 0.7500 Pd
0.4274 0.5726 0.2500 Pt
0.5726 0.4274 0.7500 Pt
```

Principal peaks in the range 2θ = 10–80°, sorted by position:
2θ (°)  d_spacing  Rel. int.
10.6  8.377  100
18.9  4.690  19
39.1  2.306  17
41.3  2.187  34
41.4  2.181  38
42.4  2.130  17
43.2  2.093  54
44.2  2.051  18
47.7  1.908  18
66.4  1.407  12

---

[5]
Theoretical powder XRD pattern
Compound: ZnPd8Pt6
Radiation: Cu Kα X-rays
Structure: a structure optimized by DFT (GGA-PBE)
Kinematic intensities with the Lorentz-polarization factor, no thermal factor.

Structure:
```
ZnPd8Pt6
1.0
7.4179 0.0000 0.0000
-3.7090 6.4241 0.0000
0.0000 0.0000 5.3398
Zn Pd Pt
1 8 6
Direct
0.0000 0.0000 0.0000 Zn
0.0340 0.6814 0.6029 Pd
0.3186 0.3525 0.6029 Pd
0.3333 0.6667 0.2365 Pd
0.3525 0.0340 0.3971 Pd
0.6475 0.9660 0.6029 Pd
0.6667 0.3333 0.7635 Pd
0.6814 0.6475 0.3971 Pd
0.9660 0.3186 0.3971 Pd
0.0322 0.3545 0.8937 Pt
0.3223 0.9678 0.8937 Pt
0.3545 0.3223 0.1063 Pt
0.6455 0.6777 0.8937 Pt
0.6777 0.0322 0.1063 Pt
0.9678 0.6455 0.1063 Pt
```

Principal peaks in the range 2θ = 10–80°, sorted by position:
2θ (°)  d_spacing  Rel. int.
16.6  5.340  15
24.0  3.709  32
32.5  2.752  15
40.8  2.210  20
41.7  2.167  100
42.2  2.141  78
60.8  1.523  27
65.7  1.421  10
75.7  1.256  12
76.8  1.241  22

---

[6]
Theoretical powder XRD pattern
Compound: ZnPd3Pt3
Radiation: Cu Kα X-rays
Structure: a structure optimized by DFT (GGA-PBE)
Kinematic intensities with the Lorentz-polarization factor, no thermal factor.

Structure:
```
ZnPd3Pt3
1.0
7.3274 0.0000 0.0000
-3.6637 6.3457 0.0000
0.0000 0.0000 4.6209
Zn Pd Pt
2 6 6
Direct
0.3333 0.6667 0.2500 Zn
0.6667 0.3333 0.7500 Zn
0.0909 0.4731 0.7500 Pd
0.3822 0.9091 0.7500 Pd
0.4731 0.3822 0.2500 Pd
0.5269 0.6178 0.7500 Pd
0.6178 0.0909 0.2500 Pd
0.9091 0.5269 0.2500 Pd
0.0471 0.2402 0.2500 Pt
0.1930 0.9529 0.2500 Pt
0.2402 0.1930 0.7500 Pt
0.7598 0.8070 0.2500 Pt
0.8070 0.0471 0.7500 Pt
0.9529 0.7598 0.7500 Pt
```

Principal peaks in the range 2θ = 10–80°, sorted by position:
2θ (°)  d_spacing  Rel. int.
14.0  6.346  17
31.2  2.871  4
34.3  2.616  4
37.5  2.398  23
39.0  2.310  28
41.6  2.171  3
42.5  2.129  100
55.2  1.664  15
67.7  1.385  17
73.0  1.296  20